CsNb4Se5F: computed powder diffractogram (copper Kα), based on a DFT-relaxed cell (GGA-PBE, OQMD).
Peak positions follow from Bragg's law for the DFT cell and can differ from measured ones.

Structure:
abc: 5.009 5.009 10.038
angles: 90.00 90.00 90.00
Sites, in units of the cell vectors:
1 Cs 0.000 0.000 0.000
2 Nb 0.000 0.500 0.500
3 Nb 0.500 0.000 0.500
4 Nb 0.500 0.500 0.319
5 Nb 0.500 0.500 0.681
6 Se 0.000 0.000 0.500
7 Se 0.000 0.500 0.243
8 Se 0.000 0.500 0.757
9 Se 0.500 0.000 0.243
10 Se 0.500 0.000 0.757
11 F 0.500 0.500 0.000

Largest 10 diffraction maxima, by angle, 2θ = 10–90°:
3.545 Å, I 47; 3.340 Å, I 11; 2.894 Å, I 14; 2.506 Å, I 100; 2.432 Å, I 45; 2.046 Å, I 29; 1.772 Å, I 57; 1.447 Å, I 15; 1.432 Å, I 14; 1.120 Å, I 19



Co2AgPt: computed powder diffractogram (copper Kα), based on a DFT-relaxed cell (GGA-PBE, OQMD).
Peak positions follow from Bragg's law for the DFT cell and can differ from measured ones.

Structure:
abc: 6.099 6.099 6.099
angles: 90.00 90.00 90.00
Sites, in units of the cell vectors:
1 Co 0.000 0.000 0.000
2 Co 0.000 0.500 0.500
3 Co 0.250 0.250 0.250
4 Co 0.250 0.750 0.750
5 Co 0.500 0.000 0.500
6 Co 0.500 0.500 0.000
7 Co 0.750 0.250 0.750
8 Co 0.750 0.750 0.250
9 Ag 0.250 0.250 0.750
10 Ag 0.250 0.750 0.250
11 Ag 0.750 0.250 0.250
12 Ag 0.750 0.750 0.750
13 Pt 0.000 0.000 0.500
14 Pt 0.000 0.500 0.000
15 Pt 0.500 0.000 0.000
16 Pt 0.500 0.500 0.500

Largest 10 diffraction maxima, by angle, 2θ = 10–90°:
3.521 Å, I 26; 3.050 Å, I 4; 2.156 Å, I 100; 1.839 Å, I 13; 1.761 Å, I 1; 1.525 Å, I 16; 1.399 Å, I 6; 1.364 Å, I 2; 1.245 Å, I 32; 1.174 Å, I 5



TlHg5: computed powder diffractogram (copper Kα), based on a DFT-relaxed cell (GGA-PBE, OQMD).
Peak positions follow from Bragg's law for the DFT cell and can differ from measured ones.

Structure:
abc: 6.542 7.602 13.474
angles: 90.00 90.00 90.00
Sites, in units of the cell vectors:
1 Tl 0.000 0.074 0.000
2 Tl 0.000 0.926 0.500
3 Tl 0.500 0.130 0.692
4 Tl 0.500 0.870 0.192
5 Hg 0.000 0.148 0.704
6 Hg 0.000 0.388 0.159
7 Hg 0.000 0.422 0.867
8 Hg 0.000 0.578 0.367
9 Hg 0.000 0.612 0.659
10 Hg 0.000 0.852 0.204
11 Hg 0.245 0.160 0.320
12 Hg 0.245 0.840 0.820
13 Hg 0.251 0.348 0.523
14 Hg 0.251 0.652 0.023
15 Hg 0.500 0.084 0.978
16 Hg 0.500 0.362 0.148
17 Hg 0.500 0.433 0.855
18 Hg 0.500 0.567 0.355
19 Hg 0.500 0.638 0.648
20 Hg 0.500 0.916 0.478
21 Hg 0.749 0.348 0.523
22 Hg 0.749 0.652 0.023
23 Hg 0.755 0.160 0.320
24 Hg 0.755 0.840 0.820

Largest 10 diffraction maxima, by angle, 2θ = 10–90°:
3.080 Å, I 15; 2.933 Å, I 47; 2.901 Å, I 100; 2.744 Å, I 27; 2.438 Å, I 29; 2.372 Å, I 15; 2.347 Å, I 24; 2.243 Å, I 54; 1.981 Å, I 14; 1.425 Å, I 24



CsInCuSe3: computed powder diffractogram (copper Kα), based on a DFT-relaxed cell (GGA-PBE, OQMD).
Peak positions follow from Bragg's law for the DFT cell and can differ from measured ones.

Structure:
abc: 9.706 4.018 10.072
angles: 90.00 111.25 90.00
Sites, in units of the cell vectors:
1 Cs 0.208 0.250 0.243
2 Cs 0.792 0.750 0.757
3 In 0.337 0.750 0.877
4 In 0.663 0.250 0.123
5 Cu 0.074 0.250 0.593
6 Cu 0.926 0.750 0.407
7 Se 0.134 0.250 0.853
8 Se 0.188 0.750 0.543
9 Se 0.484 0.750 0.165
10 Se 0.516 0.250 0.835
11 Se 0.812 0.250 0.457
12 Se 0.866 0.750 0.147

Largest 10 diffraction maxima, by angle, 2θ = 10–90°:
8.156 Å, I 77; 3.357 Å, I 25; 3.127 Å, I 55; 3.084 Å, I 100; 3.004 Å, I 44; 2.674 Å, I 34; 2.112 Å, I 26; 2.064 Å, I 25; 2.009 Å, I 31; 1.930 Å, I 31



CsDyF3: computed powder diffractogram (copper Kα), based on a DFT-relaxed cell (GGA-PBE, OQMD).
Peak positions follow from Bragg's law for the DFT cell and can differ from measured ones.

Structure:
abc: 8.638 8.638 8.638
angles: 44.18 44.18 44.18
Sites, in units of the cell vectors:
1 Cs 0.000 0.000 0.000
2 Cs 0.210 0.210 0.210
3 Cs 0.790 0.790 0.790
4 Dy 0.381 0.381 0.381
5 Dy 0.500 0.500 0.500
6 Dy 0.619 0.619 0.619
7 F 0.000 0.500 0.500
8 F 0.232 0.725 0.725
9 F 0.275 0.275 0.768
10 F 0.275 0.768 0.275
11 F 0.500 0.000 0.500
12 F 0.500 0.500 0.000
13 F 0.725 0.232 0.725
14 F 0.725 0.725 0.232
15 F 0.768 0.275 0.275

Largest 10 diffraction maxima, by angle, 2θ = 10–90°:
5.469 Å, I 28; 3.593 Å, I 38; 3.248 Å, I 100; 2.869 Å, I 20; 2.590 Å, I 17; 2.409 Å, I 26; 2.156 Å, I 18; 2.025 Å, I 17; 1.875 Å, I 21; 1.624 Å, I 21



CdReO3: computed powder diffractogram (copper Kα), based on a DFT-relaxed cell (GGA-PBE, OQMD).
Peak positions follow from Bragg's law for the DFT cell and can differ from measured ones.

Structure:
abc: 5.281 5.281 5.281
angles: 64.30 64.30 64.30
Sites, in units of the cell vectors:
1 Cd 0.250 0.250 0.250
2 Cd 0.750 0.750 0.750
3 Re 0.000 0.000 0.000
4 Re 0.500 0.500 0.500
5 O 0.150 0.750 0.350
6 O 0.250 0.650 0.850
7 O 0.350 0.150 0.750
8 O 0.650 0.850 0.250
9 O 0.750 0.350 0.150
10 O 0.850 0.250 0.650

Largest 10 diffraction maxima, by angle, 2θ = 10–90°:
3.840 Å, I 18; 2.810 Å, I 100; 2.630 Å, I 91; 1.920 Å, I 45; 1.622 Å, I 26; 1.585 Å, I 41; 1.488 Å, I 16; 1.405 Å, I 14; 1.239 Å, I 16; 1.191 Å, I 16